# 1
Starting from a GGA+U-relaxed structure, the powder diffractogram of Na2HfMo3O12 was simulated for CuKα.

Structural model:
```
data_Na2HfMo3O12
_space_group_name_H-M_alt 'C 1 2/c 1'
_space_group_IT_number 15
_space_group_name_Hall '-C 2yc'
_cell_length_a 16.683
_cell_length_b 11.438
_cell_length_c 5.087
_cell_angle_alpha 90.00
_cell_angle_beta 102.34
_cell_angle_gamma 90.00
loop_
_atom_site_label
_atom_site_type_symbol
_atom_site_fract_x
_atom_site_fract_y
_atom_site_fract_z
Na1 Na 0.163 0.123 0.409
Hf1 Hf 0.000 0.376 0.250
Mo1 Mo 0.000 0.144 0.750
Mo2 Mo 0.160 0.394 0.880
O1 O 0.046 0.233 0.516
O2 O 0.069 0.459 0.616
O3 O 0.079 0.057 0.939
O4 O 0.103 0.315 0.096
O5 O 0.215 0.290 0.746
O6 O 0.227 0.480 0.131
```

Principal peaks in the range 2θ = 5–70°, by angle:
9.45°, I 93; 10.86°, I 55; 24.47°, I 18; 27.74°, I 100; 29.65°, I 83; 31.28°, I 21; 46.09°, I 26; 47.99°, I 24; 54.65°, I 25; 57.95°, I 19

# 2
Starting from a GGA+U-relaxed structure, the powder diffractogram of Na2VO3 was simulated for CuKα.

Structural model:
```
data_Na2VO3
_space_group_name_H-M_alt 'C m c 21'
_space_group_IT_number 36
_space_group_name_Hall 'C 2c -2'
_cell_length_a 11.092
_cell_length_b 6.377
_cell_length_c 4.985
_cell_angle_alpha 90.00
_cell_angle_beta 90.00
_cell_angle_gamma 90.00
loop_
_atom_site_label
_atom_site_type_symbol
_atom_site_fract_x
_atom_site_fract_y
_atom_site_fract_z
Na1 Na 0.166 0.166 0.000
V1 V 0.000 0.329 0.533
O1 O 0.000 0.387 0.909
O2 O 0.139 0.200 0.479
```

Principal peaks in the range 2θ = 5–70°, by angle:
16.00°, I 54; 24.04°, I 48; 27.93°, I 100; 33.31°, I 65; 36.03°, I 55; 46.20°, I 36; 49.29°, I 20; 49.46°, I 38; 62.70°, I 29; 63.06°, I 17